Calculated X-ray powder pattern
Compound: Ho2Pd5
Radiation: Cu Kα
Structure: DFT lattice parameters and positions (PBE)
Lines closer than 0.1° are merged.

Structure:
```
Ho2Pd5
1.0
3.4812 -6.3386 0.0000
3.4812 6.3386 0.0000
0.0000 0.0000 5.8764
Ho Pd
4 10
Direct
0.0921 0.2983 0.0000
0.2983 0.0921 0.5000
0.7017 0.9079 0.5000
0.9079 0.7017 0.0000
0.1030 0.3512 0.5000
0.2672 0.7328 0.2500
0.2672 0.7328 0.7500
0.3512 0.1030 0.0000
0.5000 0.5000 0.2500
0.5000 0.5000 0.7500
0.6488 0.8970 0.0000
0.7328 0.2672 0.2500
0.7328 0.2672 0.7500
0.8970 0.6488 0.5000
```

Principal peaks in the range 10 to 80 degrees two-theta, by angle:
| 2θ/deg | I (rel.) |
| --- | --- |
| 33.86 | 304 |
| 38.41 | 975 |
| 39.47 | 302 |
| 40.16 | 1000 |
| 41.93 | 919 |
| 62.82 | 274 |